Record 1
Computed X-ray diffraction stick pattern of Li2MnCrO4 for Cu Kα, 1.54184 Å, from a GGA+U-relaxed structure.
Peak positions follow from Bragg's law for the DFT cell and can differ from measured ones.

Cell and atoms:
```
16
Lattice="5.209 0.000 0.000 -1.936 4.836 0.000 -0.002 -0.011 5.840" Properties=species:S:1:pos:R:3 pbc="T T T"
Li 0.000 0.000 0.000
Li -0.958 2.427 1.467
Li 0.658 4.812 4.386
Li 1.639 2.410 2.933
Mn 1.672 2.398 0.015
Mn 5.179 0.019 2.919
Cr 4.239 2.408 4.387
Cr 2.608 0.003 1.467
O 0.651 1.225 4.303
O -0.299 3.714 2.929
O -0.006 3.522 0.003
O 0.983 1.180 1.385
O 3.320 1.274 0.008
O 2.370 3.765 1.548
O 2.540 3.471 4.470
O 3.523 1.131 2.925
```

Peak list (10 most intense, 2θ = 15–90°, sorted by position)
Position (°2θ), d (Å), I (rel.)
23.9, 3.724, 100
37.2, 2.418, 16
38.1, 2.360, 15
41.9, 2.157, 28
43.9, 2.065, 52
50.5, 1.806, 22
57.9, 1.592, 10
62.3, 1.491, 29
63.8, 1.460, 14
79.2, 1.209, 12

Record 2
Computed X-ray diffraction stick pattern of Li4MnCrO6 for Cu Kα, 1.54184 Å, from a GGA+U-relaxed structure.
Peak positions follow from Bragg's law for the DFT cell and can differ from measured ones.

Cell and atoms:
```
48
Lattice="5.043 0.000 0.000 0.036 8.660 0.000 0.895 1.388 9.613" Properties=species:S:1:pos:R:3 pbc="T T T"
Li 0.000 0.000 0.000
Li 0.921 4.259 9.609
Li 0.972 7.138 9.602
Li 0.888 4.302 2.400
Li 1.689 2.887 4.800
Li 1.723 5.725 4.793
Li 1.791 8.585 4.802
Li 2.608 7.181 7.205
Li 2.524 4.337 0.004
Li 3.442 8.580 9.606
Li 3.452 2.811 9.596
Li 3.425 8.623 2.395
Li 4.245 7.206 4.803
Li 4.246 1.404 4.807
Li 4.305 4.256 4.797
Li 5.111 2.853 7.204
Mn 0.866 1.422 2.396
Mn 0.905 7.181 2.400
Mn 2.574 1.392 7.203
Mn 5.115 5.718 7.208
Cr 2.600 4.303 7.202
Cr 3.387 2.833 2.413
Cr 3.425 5.774 2.383
Cr 5.142 8.632 7.203
O 0.779 7.165 6.129
O 0.939 4.389 6.096
O 0.956 1.274 6.134
O 1.691 5.588 8.293
O 1.737 8.711 8.290
O 1.870 2.823 8.282
O 1.632 8.639 1.326
O 1.740 2.748 1.315
O 1.763 5.862 1.290
O 2.521 7.062 3.483
O 2.499 1.520 3.463
O 2.710 4.294 3.485
O 3.283 2.832 6.126
O 3.479 8.716 6.092
O 3.493 5.605 6.136
O 4.195 1.257 8.295
O 4.241 4.380 8.292
O 4.412 7.156 8.287
O 4.097 4.309 1.325
O 4.289 1.544 1.314
O 4.313 7.091 1.329
O 5.050 2.739 3.511
O 5.066 5.865 3.478
O 5.222 8.634 3.472
```

Peak list (10 most intense, 2θ = 15–90°, sorted by position)
Position (°2θ), d (Å), I (rel.)
18.5, 4.807, 100
20.4, 4.350, 19
21.3, 4.181, 17
21.5, 4.140, 18
23.9, 3.726, 24
36.1, 2.486, 12
43.7, 2.071, 36
43.9, 2.062, 35
44.2, 2.048, 34
63.6, 1.463, 18

Record 3
Computed X-ray diffraction stick pattern of Li3MnCr2O6 for Cu Kα, 1.54184 Å, from a GGA+U-relaxed structure.
Peak positions follow from Bragg's law for the DFT cell and can differ from measured ones.

Cell and atoms:
```
12
Lattice="6.650 -1.470 0.000 6.650 1.470 0.000 -1.335 0.000 5.749" Properties=species:S:1:pos:R:3 pbc="T T T"
Li 0.000 0.000 0.000
Li 3.461 0.000 3.778
Li 8.505 0.000 1.971
Mn -0.667 0.000 2.874
Cr 4.156 0.000 0.960
Cr 7.809 0.000 4.789
O 1.440 0.000 3.445
O 2.189 0.000 0.409
O 6.149 0.000 1.528
O 5.817 0.000 4.221
O 9.777 0.000 5.340
O 10.525 0.000 2.304
```

Peak list (10 most intense, 2θ = 15–90°, sorted by position)
Position (°2θ), d (Å), I (rel.)
18.2, 4.883, 100
34.7, 2.583, 15
35.7, 2.516, 26
37.0, 2.431, 11
41.8, 2.159, 29
43.4, 2.083, 52
57.3, 1.608, 9
61.8, 1.501, 14
62.0, 1.497, 15
78.7, 1.215, 10